Structure and computed powder diffractogram of LiPr4Ge4 (the GGA-PBE geometry in OQMD; Cu Kα).
Lines closer than 0.1° are merged.

The 6 most intense peaks (10° ≤ 2θ ≤ 90°), by angle:
2θ = 30.68°, d 2.914, I 68, (1 3 2)
2θ = 31.65°, d 2.827, I 100, (2 3 1)
2θ = 32.26°, d 2.775, I 55, (0 4 2)
2θ = 34.46°, d 2.602, I 42, (1 4 2)
2θ = 37.72°, d 2.385, I 33, (3 0 1)
2θ = 55.70°, d 1.650, I 29, (3 4 3)

Structure:
```
data_LiPr4Ge4
_chemical_formula_sum 'Li4 Pr16 Ge16'
_space_group_name_H-M_alt 'P n m a'
_space_group_IT_number 62
_space_group_name_Hall '-P 2ac 2n'
_cell_length_a 7.490
_cell_length_b 15.309
_cell_length_c 8.061
_cell_angle_alpha 90.00
_cell_angle_beta 90.00
_cell_angle_gamma 90.00
loop_
_atom_site_label
_atom_site_fract_x
_atom_site_fract_y
_atom_site_fract_z
Li1 0.157 0.250 0.034
Pr1 0.025 0.601 0.689
Pr2 0.176 0.628 0.179
Ge1 0.014 0.250 0.578
Ge2 0.157 0.037 0.969
Ge3 0.228 0.750 0.867
```